Entry 1:
The following is a calculated powder diffraction line list of MgSiO3. It was derived from the PBE geometry in the Materials Project, using copper Kα.
Peak positions follow from Bragg's law for the DFT cell and can differ from measured ones.

Cell and atoms:
a b c (Å): 9.7423 8.2309 4.8949
angles (deg): 90.00 97.80 90.00
Space group C2/c (No. 15)
Asymmetric unit:
Mg1 0.0000 0.1123 0.2500
Mg2 0.0000 0.3072 0.7500
Si1 0.2470 0.0797 0.9723
O1 0.1317 0.0675 0.6308
O2 0.1401 0.2450 0.0746
O3 0.1578 0.4459 0.6968

The 6 most intense peaks (2θ from 10° to 80°), in order of rising 2θ:
2θ (°)	I/Imax	h k l
22.17	702	1 1 -1
28.48	545	2 2 0
32.64	240	2 2 -1
44.01	567	2 0 2
45.78	1000	3 3 -1
64.02	259	5 3 1


Entry 2:
The following is a calculated powder diffraction line list of MgSiO3. It was derived from the PBE geometry in the Materials Project, using copper Kα.
Peak positions follow from Bragg's law for the DFT cell and can differ from measured ones.

Cell and atoms:
a b c (Å): 9.4067 8.8964 5.2287
angles (deg): 90.00 93.95 90.00
Space group P2/c (No. 13)
Asymmetric unit:
Mg1 0.0000 0.0990 0.2500
Mg2 0.0000 0.2622 0.7500
Mg3 0.5000 0.2347 0.2500
Mg4 0.5000 0.4010 0.7500
Si1 0.2089 0.4103 0.0604
Si2 0.2946 0.0899 0.6359
O1 0.1203 0.0920 0.6034
O2 0.1205 0.2584 0.0886
O3 0.1539 0.4586 0.7585
O4 0.3492 0.0471 0.9408
O5 0.3778 0.2393 0.5528
O6 0.3831 0.4079 0.0755

The 6 most intense peaks (2θ from 10° to 80°), in order of rising 2θ:
2θ (°)	I/Imax	h k l
27.62	1000	1 2 -1
28.43	319	1 2 1
30.29	606	3 1 0
31.90	394	2 2 -1
36.41	509	1 0 2
56.85	228	0 2 3


What did the first record say?
The following is a calculated powder diffraction line list of MgSiO3. It was derived from the PBE geometry in the Materials Project, using copper Kα.
Peak positions follow from Bragg's law for the DFT cell and can differ from measured ones.

Cell and atoms:
a b c (Å): 9.7423 8.2309 4.8949
angles (deg): 90.00 97.80 90.00
Space group C2/c (No. 15)
Asymmetric unit:
Mg1 0.0000 0.1123 0.2500
Mg2 0.0000 0.3072 0.7500
Si1 0.2470 0.0797 0.9723
O1 0.1317 0.0675 0.6308
O2 0.1401 0.2450 0.0746
O3 0.1578 0.4459 0.6968

The 6 most intense peaks (2θ from 10° to 80°), in order of rising 2θ:
2θ (°)	I/Imax	h k l
22.17	702	1 1 -1
28.48	545	2 2 0
32.64	240	2 2 -1
44.01	567	2 0 2
45.78	1000	3 3 -1
64.02	259	5 3 1


Question: Which formula does entry 1 have?
Answer: MgSiO3